No. 1
# Pm2SF3
Calculated powder diffraction line list, a wavelength of 1.5418 Å. Input: a structure optimized by DFT (GGA-PBE).
Lines closer than 0.1° are merged.

Atomic structure:
```
data_Pm2SF3
_space_group_name_H-M_alt 'P 1'
_space_group_IT_number 1
_cell_length_a 7.846
_cell_length_b 7.846
_cell_length_c 8.100
_cell_angle_alpha 121.00
_cell_angle_beta 121.00
_cell_angle_gamma 30.49
loop_
_space_group_symop_operation_xyz
'x,y,z'
loop_
_atom_site_label
_atom_site_type_symbol
_atom_site_fract_x
_atom_site_fract_y
_atom_site_fract_z
_atom_site_occupancy
Pm1 Pm 0.009 0.009 0.275 1
Pm2 Pm 0.279 0.279 0.808 1
Pm3 Pm 0.721 0.721 0.192 1
Pm4 Pm 0.991 0.991 0.725 1
S1 S 0.360 0.360 0.227 1
S2 S 0.640 0.640 0.773 1
F1 F 0.114 0.114 0.071 1
F2 F 0.184 0.184 0.475 1
F3 F 0.431 0.431 0.779 1
F4 F 0.569 0.569 0.221 1
F5 F 0.816 0.816 0.525 1
F6 F 0.886 0.886 0.929 1
```

Principal peaks in the range 5 to 70 degrees two-theta, sorted by position:
Position (°2θ), intensity
24.2, 31
26.0, 100
27.9, 24
28.0, 38
30.1, 47
31.7, 42
37.2, 30
42.4, 25
43.9, 26
47.4, 46
51.7, 31
54.9, 24


No. 2
# Pr3AlGa2Au6
Calculated powder diffraction line list, a wavelength of 1.5418 Å. Input: a structure optimized by DFT (GGA-PBE).
Lines closer than 0.1° are merged.

Atomic structure:
```
data_Pr3AlGa2Au6
_space_group_name_H-M_alt 'P 1'
_space_group_IT_number 1
_cell_length_a 6.186
_cell_length_b 6.186
_cell_length_c 8.438
_cell_angle_alpha 90.00
_cell_angle_beta 90.00
_cell_angle_gamma 120.00
loop_
_space_group_symop_operation_xyz
'x,y,z'
loop_
_atom_site_label
_atom_site_type_symbol
_atom_site_fract_x
_atom_site_fract_y
_atom_site_fract_z
_atom_site_occupancy
Pr1 Pr 0.000 0.000 0.000 1
Pr2 Pr 0.333 0.667 0.630 1
Pr3 Pr 0.667 0.333 0.370 1
Al1 Al 0.000 0.000 0.500 1
Ga1 Ga 0.333 0.667 0.022 1
Ga2 Ga 0.667 0.333 0.978 1
Au1 Au 0.177 0.354 0.286 1
Au2 Au 0.177 0.823 0.286 1
Au3 Au 0.354 0.177 0.714 1
Au4 Au 0.646 0.823 0.286 1
Au5 Au 0.823 0.177 0.714 1
Au6 Au 0.823 0.646 0.714 1
```

Principal peaks in the range 5 to 70 degrees two-theta, sorted by position:
Position (°2θ), intensity
19.6, 18
21.1, 25
31.8, 23
33.5, 16
35.2, 100
36.0, 39
39.9, 47
46.8, 21
55.4, 12
55.9, 13
59.8, 23
69.3, 14


No. 3
# YErCdGa
Calculated powder diffraction line list, a wavelength of 1.5418 Å. Input: a structure optimized by DFT (GGA-PBE).
Lines closer than 0.1° are merged.

Atomic structure:
```
data_YErCdGa
_space_group_name_H-M_alt 'P 1'
_space_group_IT_number 1
_cell_length_a 3.619
_cell_length_b 3.619
_cell_length_c 7.394
_cell_angle_alpha 90.00
_cell_angle_beta 90.00
_cell_angle_gamma 90.00
loop_
_space_group_symop_operation_xyz
'x,y,z'
loop_
_atom_site_label
_atom_site_type_symbol
_atom_site_fract_x
_atom_site_fract_y
_atom_site_fract_z
_atom_site_occupancy
Y1 Y 0.000 0.000 0.000 1
Er1 Er 0.000 0.000 0.470 1
Cd1 Cd 0.500 0.500 0.730 1
Ga1 Ga 0.500 0.500 0.239 1
```

Principal peaks in the range 5 to 70 degrees two-theta, sorted by position:
Position (°2θ), intensity
12.0, 10
24.6, 3
27.4, 8
34.7, 100
35.1, 50
37.2, 3
44.5, 2
49.3, 9
50.4, 17
51.5, 3
61.9, 17
62.7, 35